Entry 1:
For Ce3Mg7Tl4, a crystal structure in Alexandria, relaxed with GGA-PBE gives the simulated X-ray powder pattern in this record (Cu Kα).
Intensities are scaled so that the largest is 100.

Cell and atoms:
```
Ce3Mg7Tl4
1.0
8.7634 -2.4001 0.0000
8.7634 2.4001 0.0000
-6.2801 0.0000 8.6268
Ce Mg Tl
3 7 4
Direct
0.0000 0.0000 0.0000
0.2969 0.2969 0.2879
0.7031 0.7031 0.7121
0.0000 0.0000 0.5000
0.1564 0.1564 0.4331
0.3361 0.3361 0.9867
0.4927 0.4927 0.6767
0.5073 0.5073 0.3233
0.6639 0.6639 0.0133
0.8436 0.8436 0.5669
0.1299 0.1299 0.8443
0.3521 0.3521 0.7381
0.6479 0.6479 0.2619
0.8701 0.8701 0.1557
```

Largest 12 diffraction maxima, by intensity, 2θ from 5° to 70°:
2θ (°), I (rel.)
31.3, 100
23.8, 80
31.2, 79
37.5, 78
31.7, 75
24.0, 72
39.0, 63
20.6, 59
32.7, 56
29.9, 48
10.3, 40
46.2, 36



Entry 2:
For CeMg6Tl6, a crystal structure in Alexandria, relaxed with GGA-PBE gives the simulated X-ray powder pattern in this record (Cu Kα).
Intensities are scaled so that the largest is 100.

Cell and atoms:
```
CeMg6Tl6
1.0
-3.0922 4.9376 5.3928
3.0922 -4.9376 5.3928
3.0922 4.9376 -5.3928
Ce Mg Tl
1 6 6
Direct
0.0000 0.0000 0.0000
0.0000 0.0000 0.5000
0.0000 0.5000 0.0000
0.2452 0.5000 0.7452
0.5000 0.0000 0.0000
0.5000 0.5000 0.5000
0.7548 0.5000 0.2548
0.1645 0.6645 0.5000
0.3370 0.3370 0.0000
0.3425 0.0000 0.3425
0.6575 0.0000 0.6575
0.6630 0.6630 0.0000
0.8355 0.3355 0.5000
```

Largest 12 diffraction maxima, by intensity, 2θ from 5° to 70°:
2θ (°), I (rel.)
28.7, 100
34.1, 54
28.9, 49
64.0, 38
24.5, 36
18.0, 36
34.2, 27
40.2, 26
35.1, 21
51.1, 21
47.0, 18
59.5, 18



Entry 3:
For Ce6Mg15Tl8, a crystal structure in Alexandria, relaxed with GGA-PBE gives the simulated X-ray powder pattern in this record (Cu Kα).
Intensities are scaled so that the largest is 100.

Cell and atoms:
```
Ce6Mg15Tl8
1.0
0.0000 7.2750 7.2750
7.2750 0.0000 7.2750
7.2750 7.2750 0.0000
Ce Mg Tl
6 15 8
Direct
0.2260 0.2260 0.7740
0.2260 0.7740 0.2260
0.2260 0.7740 0.7740
0.7740 0.2260 0.2260
0.7740 0.2260 0.7740
0.7740 0.7740 0.2260
0.0000 0.0000 0.0000
0.0000 0.0000 0.5000
0.0000 0.5000 0.0000
0.0000 0.5000 0.5000
0.1310 0.6230 0.6230
0.3770 0.3770 0.3770
0.3770 0.3770 0.8690
0.3770 0.8690 0.3770
0.5000 0.0000 0.0000
0.5000 0.0000 0.5000
0.5000 0.5000 0.0000
0.6230 0.1310 0.6230
0.6230 0.6230 0.1310
0.6230 0.6230 0.6230
0.8690 0.3770 0.3770
0.1458 0.1458 0.1458
0.1458 0.1458 0.5626
0.1458 0.5626 0.1458
0.4374 0.8542 0.8542
0.5626 0.1458 0.1458
0.8542 0.4374 0.8542
0.8542 0.8542 0.4374
0.8542 0.8542 0.8542
```

Largest 12 diffraction maxima, by intensity, 2θ from 5° to 70°:
2θ (°), I (rel.)
34.9, 100
32.0, 41
48.0, 40
10.5, 38
20.2, 33
66.5, 28
26.7, 25
27.4, 22
21.2, 18
37.1, 18
69.6, 17
62.5, 16



Entry 4:
For CeTmMg, a crystal structure in Alexandria, relaxed with GGA-PBE gives the simulated X-ray powder pattern in this record (Cu Kα).
Intensities are scaled so that the largest is 100.

Cell and atoms:
```
CeTmMg
1.0
3.6996 0.0000 0.0000
0.0000 3.6996 0.0000
0.0000 0.0000 11.8811
Ce Tm Mg
2 2 2
Direct
0.2500 0.2500 0.0674
0.7500 0.7500 0.9326
0.2500 0.2500 0.4071
0.7500 0.7500 0.5929
0.2500 0.2500 0.7578
0.7500 0.7500 0.2422
```

Largest 12 diffraction maxima, by intensity, 2θ from 5° to 70°:
2θ (°), I (rel.)
33.1, 100
34.3, 48
60.7, 35
25.2, 29
14.9, 28
49.3, 17
58.5, 17
37.6, 12
69.5, 10
45.8, 9
45.4, 7
56.1, 7



Entry 5:
For CeYMg17, a crystal structure in Alexandria, relaxed with GGA-PBE gives the simulated X-ray powder pattern in this record (Cu Kα).
Intensities are scaled so that the largest is 100.

Cell and atoms:
```
CeYMg17
1.0
5.1202 2.9561 5.0698
-5.1202 2.9561 5.0698
0.0000 -5.9123 5.0698
Ce Y Mg
1 1 17
Direct
0.0000 0.0000 0.0000
0.3393 0.3393 0.3393
0.0216 0.0216 0.5041
0.0216 0.5041 0.0216
0.1663 0.6717 0.6717
0.3182 0.3182 0.8245
0.3182 0.8245 0.3182
0.3658 0.6672 0.9732
0.3658 0.9732 0.6672
0.5041 0.0216 0.0216
0.5685 0.5685 0.5685
0.6672 0.3658 0.9732
0.6672 0.9732 0.3658
0.6717 0.1663 0.6717
0.6717 0.6717 0.1663
0.7667 0.7667 0.7667
0.8245 0.3182 0.3182
0.9732 0.3658 0.6672
0.9732 0.6672 0.3658
```

Largest 12 diffraction maxima, by intensity, 2θ from 5° to 70°:
2θ (°), I (rel.)
35.1, 100
24.7, 41
30.2, 31
35.8, 21
63.4, 19
35.4, 17
17.3, 17
50.5, 13
15.3, 13
56.9, 13
50.7, 13
29.1, 12



Entry 6:
For CeYMg14, a crystal structure in Alexandria, relaxed with GGA-PBE gives the simulated X-ray powder pattern in this record (Cu Kα).
Intensities are scaled so that the largest is 100.

Cell and atoms:
```
CeYMg14
1.0
6.9143 0.0000 0.0000
0.0000 6.9143 0.0000
0.0000 0.0000 8.0865
Ce Y Mg
1 1 14
Direct
0.0000 0.0000 0.0000
0.5000 0.5000 0.0000
0.0000 0.0000 0.5000
0.0000 0.5000 0.0000
0.0000 0.5000 0.5000
0.2515 0.2515 0.2630
0.2515 0.2515 0.7370
0.2515 0.7485 0.2630
0.2515 0.7485 0.7370
0.5000 0.0000 0.0000
0.5000 0.0000 0.5000
0.5000 0.5000 0.5000
0.7485 0.2515 0.2630
0.7485 0.2515 0.7370
0.7485 0.7485 0.2630
0.7485 0.7485 0.7370
```

Largest 12 diffraction maxima, by intensity, 2θ from 5° to 70°:
2θ (°), I (rel.)
34.1, 100
36.8, 41
21.2, 31
64.5, 30
10.9, 27
18.1, 22
59.3, 19
28.1, 18
28.7, 15
53.0, 14
44.8, 11
42.8, 10



Entry 7:
For CeMg6Zn6, a crystal structure in Alexandria, relaxed with GGA-PBE gives the simulated X-ray powder pattern in this record (Cu Kα).
Intensities are scaled so that the largest is 100.

Cell and atoms:
```
CeMg6Zn6
1.0
-2.7299 4.7278 4.7756
2.7299 -4.7278 4.7756
2.7299 4.7278 -4.7756
Ce Mg Zn
1 6 6
Direct
0.0000 0.0000 0.0000
0.1995 0.5000 0.6995
0.3458 0.3458 0.0000
0.3477 0.0000 0.3477
0.6523 0.0000 0.6523
0.6542 0.6542 0.0000
0.8005 0.5000 0.3005
0.0000 0.0000 0.5000
0.0000 0.5000 0.0000
0.2217 0.7217 0.5000
0.5000 0.0000 0.0000
0.5000 0.5000 0.5000
0.7783 0.2783 0.5000
```

Largest 12 diffraction maxima, by intensity, 2θ from 5° to 70°:
2θ (°), I (rel.)
38.0, 100
26.5, 49
42.7, 37
54.6, 29
13.2, 27
37.7, 26
38.1, 25
37.8, 24
62.0, 17
68.8, 17
18.6, 17
54.9, 15



Entry 8:
For CeMnN4, a crystal structure in Alexandria, relaxed with GGA-PBE gives the simulated X-ray powder pattern in this record (Cu Kα).
Intensities are scaled so that the largest is 100.

Cell and atoms:
```
CeMnN4
1.0
-2.4742 2.4742 6.1087
2.4742 -2.4742 6.1087
2.4742 2.4742 -6.1087
Ce Mn N
2 2 8
Direct
0.3750 0.1250 0.2500
0.6250 0.8750 0.7500
0.1250 0.3750 0.7500
0.8750 0.6250 0.2500
0.1029 0.1877 0.3846
0.2183 0.6029 0.4152
0.3031 0.7183 0.1154
0.3123 0.1969 0.9152
0.6877 0.8031 0.0848
0.6969 0.2817 0.8846
0.7817 0.3971 0.5848
0.8971 0.8123 0.6154
```

Largest 12 diffraction maxima, by intensity, 2θ from 5° to 70°:
2θ (°), I (rel.)
29.4, 100
47.3, 29
61.1, 25
36.3, 24
19.4, 21
52.0, 21
29.2, 21
61.0, 13
41.5, 10
52.3, 9
46.7, 8
41.2, 7



Entry 9:
For CeSm2MnN4, a crystal structure in Alexandria, relaxed with GGA-PBE gives the simulated X-ray powder pattern in this record (Cu Kα).
Intensities are scaled so that the largest is 100.

Cell and atoms:
```
CeSm2MnN4
1.0
1.7224 -5.7841 0.0000
1.7224 5.7841 0.0000
0.0000 0.0000 11.9888
Ce Sm Mn N
2 4 2 8
Direct
0.1035 0.8965 0.7500
0.8965 0.1035 0.2500
0.3690 0.6310 0.5471
0.3690 0.6310 0.9529
0.6310 0.3690 0.0471
0.6310 0.3690 0.4529
0.1650 0.8350 0.2500
0.8350 0.1650 0.7500
0.0000 0.0000 0.0000
0.0000 0.0000 0.5000
0.2751 0.7249 0.1347
0.2751 0.7249 0.3653
0.4324 0.5676 0.7500
0.5676 0.4324 0.2500
0.7249 0.2751 0.6347
0.7249 0.2751 0.8653
```

Largest 12 diffraction maxima, by intensity, 2θ from 5° to 70°:
2θ (°), I (rel.)
30.9, 100
27.1, 52
38.1, 47
35.7, 25
29.8, 22
46.8, 21
52.2, 18
49.9, 15
62.8, 15
56.0, 13
53.2, 13
40.7, 12



Entry 10:
For CeY2MnN4, a crystal structure in Alexandria, relaxed with GGA-PBE gives the simulated X-ray powder pattern in this record (Cu Kα).
Intensities are scaled so that the largest is 100.

Cell and atoms:
```
CeY2MnN4
1.0
1.6940 -5.7054 0.0000
1.6940 5.7054 0.0000
0.0000 0.0000 11.7096
Ce Y Mn N
2 4 2 8
Direct
0.1033 0.8967 0.7500
0.8967 0.1033 0.2500
0.3697 0.6303 0.5465
0.3697 0.6303 0.9535
0.6303 0.3697 0.0465
0.6303 0.3697 0.4535
0.1628 0.8372 0.2500
0.8372 0.1628 0.7500
0.0000 0.0000 0.0000
0.0000 0.0000 0.5000
0.2713 0.7287 0.1299
0.2713 0.7287 0.3701
0.4346 0.5654 0.7500
0.5654 0.4346 0.2500
0.7287 0.2713 0.6299
0.7287 0.2713 0.8701
```

Largest 12 diffraction maxima, by intensity, 2θ from 5° to 70°:
2θ (°), I (rel.)
31.5, 100
38.8, 70
27.7, 64
36.3, 52
31.4, 47
30.5, 41
53.3, 26
50.7, 25
47.9, 24
63.9, 23
44.3, 22
54.1, 20



Entry 11:
For Ce2ZrMnN5, a crystal structure in Alexandria, relaxed with GGA-PBE gives the simulated X-ray powder pattern in this record (Cu Kα).
Intensities are scaled so that the largest is 100.

Cell and atoms:
```
Ce2ZrMnN5
1.0
6.3523 0.0000 0.0000
0.0000 6.3523 0.0000
0.0000 0.0000 5.7190
Ce Zr Mn N
4 2 2 10
Direct
0.1645 0.3355 0.0000
0.3355 0.8355 0.0000
0.6645 0.1645 0.0000
0.8355 0.6645 0.0000
0.0000 0.0000 0.5000
0.5000 0.5000 0.5000
0.0000 0.5000 0.5000
0.5000 0.0000 0.5000
0.0000 0.0000 0.0000
0.1588 0.6588 0.2813
0.1588 0.6588 0.7187
0.3412 0.1588 0.2813
0.3412 0.1588 0.7187
0.5000 0.5000 0.0000
0.6588 0.8412 0.2813
0.6588 0.8412 0.7187
0.8412 0.3412 0.2813
0.8412 0.3412 0.7187
```

Largest 12 diffraction maxima, by intensity, 2θ from 5° to 70°:
2θ (°), I (rel.)
35.3, 100
32.2, 93
45.0, 63
31.3, 55
31.5, 40
15.5, 33
45.1, 25
25.2, 21
56.3, 21
40.2, 20
58.3, 18
60.5, 17



Entry 12:
For Ce2MnNi12P3, a crystal structure in Alexandria, relaxed with GGA-PBE gives the simulated X-ray powder pattern in this record (Cu Kα).
Intensities are scaled so that the largest is 100.

Cell and atoms:
```
Ce2MnNi12P3
1.0
4.2114 2.4315 3.9581
-4.2114 2.4315 3.9581
0.0000 -4.8629 3.9581
Ce Mn Ni P
2 1 12 3
Direct
0.1628 0.1628 0.1628
0.8372 0.8372 0.8372
0.5000 0.5000 0.5000
0.1212 0.1212 0.6033
0.1212 0.6033 0.1212
0.1835 0.6850 0.6850
0.3150 0.3150 0.8165
0.3150 0.8165 0.3150
0.3967 0.8788 0.8788
0.6033 0.1212 0.1212
0.6850 0.1835 0.6850
0.6850 0.6850 0.1835
0.8165 0.3150 0.3150
0.8788 0.3967 0.8788
0.8788 0.8788 0.3967
0.0000 0.5000 0.5000
0.5000 0.0000 0.5000
0.5000 0.5000 0.0000
```

Largest 12 diffraction maxima, by intensity, 2θ from 5° to 70°:
2θ (°), I (rel.)
43.0, 100
45.6, 40
31.0, 34
22.5, 19
39.1, 16
49.0, 15
64.4, 14
64.6, 14
43.7, 14
62.9, 9
14.3, 8
28.7, 8